Mn2NbFe3P6O24: calculated powder diffraction line list (a wavelength of 1.5418 Å), based on DFT lattice parameters and positions (GGA+U).
Neutral-atom scattering factors, no anomalous dispersion.

Largest 8 diffraction maxima, in order of rising 2θ, 5° ≤ 2θ ≤ 70°:
(1 1 0), 2θ = 20.5°, rel. 100; (1 1 3), 2θ = 24.0°, rel. 82; (2 -1 6), 2θ = 32.6°, rel. 70; (3 0 0), 2θ = 35.8°, rel. 42; (3 -2 8), 2θ = 46.8°, rel. 27; (2 2 6), 2θ = 49.2°, rel. 28; (1 4 0), 2θ = 56.0°, rel. 37; (5 -1 6), 2θ = 62.4°, rel. 21

Structure:
Cell lengths 8.6861, 8.6861, 21.2277 Å; angles 90.00, 90.00, 120.00 degrees
Space group R3 (No. 146, hexagonal axes)
One atom of each set of equivalent atoms:
Mn 0.0000 0.0000 0.0000 x3
Mn 0.0000 0.0000 0.4967 x3
Nb 0.0000 0.0000 0.8518 x3
Fe 0.0000 0.0000 0.1424 x3
Fe 0.0000 0.0000 0.3514 x3
Fe 0.0000 0.0000 0.6400 x3
P 0.0052 0.7120 0.2460 x9
P 0.0363 0.3681 0.4101 x9
O 0.0066 0.1924 0.8035 x9
O 0.0114 0.8293 0.9168 x9
O 0.0239 0.1861 0.4202 x9
O 0.1378 0.6688 0.9732 x9
O 0.1387 0.4686 0.3520 x9
O 0.1423 0.6745 0.8528 x9
O 0.1653 0.4838 0.7409 x9
O 0.1710 0.6897 0.2397 x9